# 1
Computed powder X-ray diffraction pattern
Compound: CrSb2Rh
Radiation: copper Kα
Structure: a GGA-PBE-relaxed structure
Lines closer than 0.1° are merged.

Cell: 3.9999 3.6786 10.3928 Å, 90.00 90.00 90.00°
Space group Amm2 (No. 38)
Unique sites:
Cr 0.0000 0.0000 0.0000 (multiplicity 2)
Sb 0.0000 0.0000 0.2674 (multiplicity 2)
Sb 0.5000 0.0000 0.5587 (multiplicity 2)
Rh 0.5000 0.0000 0.8273 (multiplicity 2)

The 6 most intense peaks (2θ from 15° to 90°), sorted by position:
| (hkl) | d [Å] | I/Imax |
| --- | --- | --- |
| 1 1 1 | 2.620 | 100 |
| 0 0 4 | 2.598 | 29 |
| 0 1 3 | 2.522 | 28 |
| 1 0 4 | 2.179 | 24 |
| 1 1 3 | 2.133 | 45 |
| 2 0 0 | 2.000 | 23 |

# 2
Computed powder X-ray diffraction pattern
Compound: SrTaTl2
Radiation: copper Kα
Structure: a GGA-PBE-relaxed structure
Lines closer than 0.1° are merged.

Cell: 3.2950 4.2003 7.4026 Å, 90.00 90.00 90.00°
Space group Pmmm (No. 47)
Unique sites:
Sr 0.0000 0.0000 0.0000 (multiplicity 1)
Ta 0.0000 0.0000 0.5000 (multiplicity 1)
Tl 0.5000 0.5000 0.2879 (multiplicity 2)

The 6 most intense peaks (2θ from 15° to 90°), sorted by position:
| (hkl) | d [Å] | I/Imax |
| --- | --- | --- |
| 0 1 2 | 2.777 | 100 |
| 1 1 0 | 2.592 | 95 |
| 1 0 2 | 2.461 | 75 |
| 0 2 0 | 2.100 | 26 |
| 1 2 2 | 1.598 | 40 |
| 2 1 2 | 1.417 | 26 |